For Li4Ho9Hg11, a GGA-PBE-relaxed structure gives the simulated powder X-ray diffraction pattern in this record (Cu Kα (weighted mean of Kα1 and Kα2)).
Peak positions follow from Bragg's law for the DFT cell and can differ from measured ones.

Principal peaks in the range 10 to 80 degrees two-theta, most intense first:
2θ (°)  d [Å]  I/Imax
34.64  2.589  100
35.11  2.556  96
35.89  2.502  91
64.29  1.449  35
31.51  2.839  28
33.58  2.669  25
27.37  3.258  24
52.34  1.748  23

Crystal structure
```
24
Lattice="7.493 -10.747 0.000 7.493 10.747 0.000 0.000 0.000 3.496" Properties=species:S:1:pos:R:3 pbc="T T T"
Li 2.237 2.100 0.000
Li 2.237 -2.100 0.000
Li 12.749 2.100 0.000
Li 12.749 -2.100 0.000
Ho 0.000 0.000 0.000
Ho 5.786 5.519 0.000
Ho 5.464 1.707 0.000
Ho 9.200 5.519 0.000
Ho 5.464 -1.707 0.000
Ho 9.523 1.707 0.000
Ho 5.786 -5.519 0.000
Ho 9.523 -1.707 0.000
Ho 9.200 -5.519 0.000
Hg 3.837 3.713 1.748
Hg 7.493 7.861 1.748
Hg 3.051 0.000 1.748
Hg 7.493 3.475 1.748
Hg 3.837 -3.713 1.748
Hg 7.493 0.000 1.748
Hg 11.149 3.713 1.748
Hg 7.493 -3.475 1.748
Hg 11.936 0.000 1.748
Hg 7.493 -7.861 1.748
Hg 11.149 -3.713 1.748
```